Entry 1:
Starting from a cell relaxed with GGA-PBE, the X-ray diffraction stick pattern of SnBr2Cl6 was simulated for Cu Ka.
Intensities are scaled so that the largest is 100.

Principal peaks in the range 10° ≤ 2θ ≤ 90°, most intense first:
hkl 3 1 0, 18.06°, 4.911 Å, intensity 100.0; hkl 1 1 -1, 12.99°, 6.815 Å, intensity 64.3; hkl 0 2 0, 12.08°, 7.325 Å, intensity 39.4; hkl 1 3 0, 19.04°, 4.662 Å, intensity 39.2; hkl 0 2 1, 17.18°, 5.163 Å, intensity 37.4; hkl 4 2 0, 25.82°, 3.450 Å, intensity 32.5; hkl 2 0 0, 11.31°, 7.822 Å, intensity 32.3; hkl 4 4 -2, 36.69°, 2.449 Å, intensity 29.5; hkl 1 3 -2, 29.54°, 3.024 Å, intensity 28.5; hkl 3 1 1, 24.96°, 3.568 Å, intensity 21.9

```
data_SnBr2Cl6
_chemical_formula_sum 'Sn4 Br8 Cl24'
_cell_length_a 16.680
_cell_length_b 14.650
_cell_length_c 7.760
_cell_angle_alpha 90.00
_cell_angle_beta 110.30
_cell_angle_gamma 90.00
_space_group_name_H-M_alt 'C 1 2/c 1'
_space_group_IT_number 15
loop_
_space_group_symop_operation_xyz
'x,y,z'
'-x,-y,-z'
'-x,y,-z+1/2'
'x,-y,z+1/2'
'x+1/2,y+1/2,z'
'-x+1/2,-y+1/2,-z'
'-x+1/2,y+1/2,-z+1/2'
'x+1/2,-y+1/2,z+1/2'
loop_
_atom_site_label
_atom_site_type_symbol
_atom_site_fract_x
_atom_site_fract_y
_atom_site_fract_z
Sn1 Sn 0.000 0.141 0.250
Br1 Br 0.146 0.499 0.789
Cl1 Cl 0.063 0.232 0.088
Cl2 Cl 0.105 0.051 0.453
Cl3 Cl 0.146 0.403 0.539
```

***

Entry 2:
Starting from a cell relaxed with GGA-PBE, the X-ray diffraction stick pattern of Sn4Br3Cl4 was simulated for Cu Ka.
Intensities are scaled so that the largest is 100.

Principal peaks in the range 10° ≤ 2θ ≤ 90°, most intense first:
hkl 0 1 -1, 17.91°, 4.954 Å, intensity 100.0; hkl 1 0 0, 14.07°, 6.296 Å, intensity 57.0; hkl 0 1 3, 32.28°, 2.773 Å, intensity 39.8; hkl 1 1 1, 17.03°, 5.205 Å, intensity 34.8; hkl 2 1 1, 27.46°, 3.248 Å, intensity 34.2; hkl 1 2 -2, 34.18°, 2.623 Å, intensity 32.2; hkl -1 1 2, 29.24°, 3.055 Å, intensity 31.4; hkl 1 1 -1, 18.73°, 4.738 Å, intensity 31.0; hkl 2 0 0, 28.35°, 3.148 Å, intensity 27.8; hkl 0 1 2, 22.81°, 3.898 Å, intensity 27.6

```
data_Sn4Br3Cl4
_chemical_formula_sum 'Sn4 Br3 Cl4'
_cell_length_a 6.956
_cell_length_b 7.696
_cell_length_c 8.577
_cell_angle_alpha 80.89
_cell_angle_beta 88.62
_cell_angle_gamma 64.97
_space_group_name_H-M_alt 'P -1'
_space_group_IT_number 2
loop_
_space_group_symop_operation_xyz
'x,y,z'
'-x,-y,-z'
loop_
_atom_site_label
_atom_site_type_symbol
_atom_site_fract_x
_atom_site_fract_y
_atom_site_fract_z
Sn1 Sn 0.150 0.096 0.163
Sn2 Sn 0.206 0.558 0.628
Br1 Br 0.000 0.500 0.000
Br2 Br 0.242 0.901 0.880
Cl1 Cl 0.198 0.272 0.479
Cl2 Cl 0.306 0.712 0.361
```

***

Entry 3:
Starting from a cell relaxed with GGA-PBE, the X-ray diffraction stick pattern of SnBrCl3 was simulated for Cu Ka.
Intensities are scaled so that the largest is 100.

Principal peaks in the range 10° ≤ 2θ ≤ 90°, most intense first:
hkl 1 0 1, 16.39°, 5.407 Å, intensity 100.0; hkl 2 1 0, 24.27°, 3.668 Å, intensity 30.4; hkl 1 1 0, 16.05°, 5.522 Å, intensity 30.3; hkl 0 0 2, 25.42°, 3.504 Å, intensity 28.9; hkl 0 1 1, 17.58°, 5.044 Å, intensity 28.2; hkl 2 3 0, 42.97°, 2.105 Å, intensity 28.1; hkl 2 0 0, 20.91°, 4.249 Å, intensity 26.4; hkl 1 1 1, 20.48°, 4.338 Å, intensity 24.8; hkl 2 1 3, 46.06°, 1.970 Å, intensity 23.5; hkl 2 1 1, 27.45°, 3.250 Å, intensity 23.0

```
data_SnBrCl3
_chemical_formula_sum 'Sn2 Br2 Cl6'
_cell_length_a 8.497
_cell_length_b 7.266
_cell_length_c 7.009
_cell_angle_alpha 90.00
_cell_angle_beta 90.00
_cell_angle_gamma 90.00
_space_group_name_H-M_alt 'P m n 21'
_space_group_IT_number 31
loop_
_space_group_symop_operation_xyz
'x,y,z'
'-x+1/2,-y,z+1/2'
'-x,y,z'
'x+1/2,-y,z+1/2'
loop_
_atom_site_label
_atom_site_type_symbol
_atom_site_fract_x
_atom_site_fract_y
_atom_site_fract_z
Sn1 Sn 0.000 0.182 0.000
Br1 Br 0.000 0.863 0.117
Cl1 Cl 0.000 0.193 0.669
Cl2 Cl 0.221 0.337 0.110
```

***

Entry 4:
Starting from a cell relaxed with GGA-PBE, the X-ray diffraction stick pattern of Tl2SnBrCl5 was simulated for Cu Ka.
Intensities are scaled so that the largest is 100.

Principal peaks in the range 10° ≤ 2θ ≤ 90°, most intense first:
hkl 2 0 2, 29.80°, 2.998 Å, intensity 100.0; hkl 1 1 2, 24.12°, 3.689 Å, intensity 93.7; hkl 2 2 0, 34.87°, 2.573 Å, intensity 71.0; hkl 2 0 0, 24.46°, 3.638 Å, intensity 69.3; hkl 3 1 2, 42.85°, 2.110 Å, intensity 43.2; hkl 2 2 4, 49.41°, 1.845 Å, intensity 41.3; hkl 1 0 1, 14.77°, 5.996 Å, intensity 38.2; hkl 2 0 4, 42.23°, 2.140 Å, intensity 31.3; hkl 0 0 4, 33.88°, 2.646 Å, intensity 30.9; hkl 0 0 2, 16.75°, 5.292 Å, intensity 26.1

```
data_Tl2SnBrCl5
_chemical_formula_sum 'Tl4 Sn2 Br2 Cl10'
_cell_length_a 7.277
_cell_length_b 7.277
_cell_length_c 10.584
_cell_angle_alpha 90.00
_cell_angle_beta 90.00
_cell_angle_gamma 90.00
_space_group_name_H-M_alt 'I 4 m m'
_space_group_IT_number 107
_space_group_name_Hall 'I 4 -2'
loop_
_atom_site_label
_atom_site_type_symbol
_atom_site_fract_x
_atom_site_fract_y
_atom_site_fract_z
Tl1 Tl 0.000 0.500 0.000
Sn1 Sn 0.000 0.000 0.213
Br1 Br 0.000 0.000 0.461
Cl1 Cl 0.000 0.000 0.979
Cl2 Cl 0.240 0.240 0.212
```

***

Entry 5:
Starting from a cell relaxed with GGA-PBE, the X-ray diffraction stick pattern of Sr2Br3Cl6 was simulated for Cu Ka.
Intensities are scaled so that the largest is 100.

Principal peaks in the range 10° ≤ 2θ ≤ 90°, most intense first:
hkl 0 2 1, 20.97°, 4.237 Å, intensity 100.0; hkl 3 1 -3, 24.44°, 3.642 Å, intensity 86.5; hkl 1 1 0, 12.12°, 7.302 Å, intensity 66.4; hkl 3 1 -4, 28.14°, 3.171 Å, intensity 48.8; hkl 3 1 0, 23.24°, 3.828 Å, intensity 44.8; hkl 3 3 -2, 36.23°, 2.479 Å, intensity 40.2; hkl 4 0 2, 35.67°, 2.517 Å, intensity 32.1; hkl 2 0 0, 13.93°, 6.356 Å, intensity 30.7; hkl 3 3 2, 42.23°, 2.140 Å, intensity 30.1; hkl 6 0 0, 42.68°, 2.119 Å, intensity 27.9

```
data_Sr2Br3Cl6
_chemical_formula_sum 'Sr8 Br12 Cl24'
_cell_length_a 13.872
_cell_length_b 8.919
_cell_length_c 14.805
_cell_angle_alpha 90.00
_cell_angle_beta 113.59
_cell_angle_gamma 90.00
_space_group_name_H-M_alt 'C 1 2/c 1'
_space_group_IT_number 15
loop_
_space_group_symop_operation_xyz
'x,y,z'
'-x,-y,-z'
'-x,y,-z+1/2'
'x,-y,z+1/2'
'x+1/2,y+1/2,z'
'-x+1/2,-y+1/2,-z'
'-x+1/2,y+1/2,-z+1/2'
'x+1/2,-y+1/2,z+1/2'
loop_
_atom_site_label
_atom_site_type_symbol
_atom_site_fract_x
_atom_site_fract_y
_atom_site_fract_z
Sr1 Sr 0.172 0.020 0.479
Br1 Br 0.000 0.308 0.750
Br2 Br 0.197 0.122 0.284
Cl1 Cl 0.062 0.051 0.108
Cl2 Cl 0.149 0.330 0.534
Cl3 Cl 0.156 0.297 0.901
```

***

Entry 6:
Starting from a cell relaxed with GGA-PBE, the X-ray diffraction stick pattern of SrBrCl3 was simulated for Cu Ka.
Intensities are scaled so that the largest is 100.

Principal peaks in the range 10° ≤ 2θ ≤ 90°, most intense first:
hkl 1 2 1, 28.15°, 3.170 Å, intensity 100.0; hkl 1 1 1, 21.22°, 4.188 Å, intensity 75.4; hkl 1 0 0, 11.88°, 7.451 Å, intensity 73.9; hkl 2 1 -1, 23.33°, 3.813 Å, intensity 70.8; hkl 3 1 -3, 34.32°, 2.613 Å, intensity 55.2; hkl 1 3 -1, 33.76°, 2.655 Å, intensity 43.6; hkl 2 2 -1, 29.81°, 2.997 Å, intensity 42.5; hkl 2 2 1, 36.81°, 2.442 Å, intensity 36.1; hkl 1 1 -4, 34.61°, 2.592 Å, intensity 36.0; hkl 0 0 2, 18.46°, 4.805 Å, intensity 34.3

```
data_SrBrCl3
_chemical_formula_sum 'Sr4 Br4 Cl12'
_cell_length_a 8.637
_cell_length_b 8.407
_cell_length_c 11.141
_cell_angle_alpha 90.00
_cell_angle_beta 120.39
_cell_angle_gamma 90.00
_space_group_name_H-M_alt 'P 1 21/c 1'
_space_group_IT_number 14
loop_
_space_group_symop_operation_xyz
'x,y,z'
'-x,-y,-z'
'-x,y+1/2,-z+1/2'
'x,-y+1/2,z+1/2'
loop_
_atom_site_label
_atom_site_type_symbol
_atom_site_fract_x
_atom_site_fract_y
_atom_site_fract_z
Sr1 Sr 0.032 0.133 0.195
Br1 Br 0.302 0.057 0.807
Cl1 Cl 0.110 0.165 0.969
Cl2 Cl 0.248 0.628 0.876
Cl3 Cl 0.298 0.538 0.114
```

***

Entry 7:
Starting from a cell relaxed with GGA-PBE, the X-ray diffraction stick pattern of Sr6Br7Cl5 was simulated for Cu Ka.
Intensities are scaled so that the largest is 100.

Principal peaks in the range 10° ≤ 2θ ≤ 90°, most intense first:
hkl 3 3 3, 43.49°, 2.081 Å, intensity 100.0; hkl 0 0 2, 18.46°, 4.807 Å, intensity 93.1; hkl 3 3 1, 34.07°, 2.632 Å, intensity 87.1; hkl 0 4 0, 35.21°, 2.549 Å, intensity 61.5; hkl 3 0 2, 26.79°, 3.328 Å, intensity 55.6; hkl 3 2 0, 26.05°, 3.420 Å, intensity 53.5; hkl 6 0 0, 39.06°, 2.306 Å, intensity 33.3; hkl 0 2 0, 17.39°, 5.099 Å, intensity 27.4; hkl 0 3 1, 27.84°, 3.205 Å, intensity 26.3; hkl 0 0 4, 37.41°, 2.404 Å, intensity 25.9

```
data_Sr6Br7Cl5
_chemical_formula_sum 'Sr12 Br14 Cl10'
_cell_length_a 13.836
_cell_length_b 10.198
_cell_length_c 9.615
_cell_angle_alpha 90.00
_cell_angle_beta 90.00
_cell_angle_gamma 90.00
_space_group_name_H-M_alt 'A m m 2'
_space_group_IT_number 38
loop_
_space_group_symop_operation_xyz
'x,y,z'
'-x,-y,z'
'-x,y,z'
'x,-y,z'
'x,y+1/2,z+1/2'
'-x,-y+1/2,z+1/2'
'-x,y+1/2,z+1/2'
'x,-y+1/2,z+1/2'
loop_
_atom_site_label
_atom_site_type_symbol
_atom_site_fract_x
_atom_site_fract_y
_atom_site_fract_z
Sr1 Sr 0.000 0.000 0.000
Sr2 Sr 0.166 0.000 0.498
Sr3 Sr 0.328 0.000 0.996
Sr4 Sr 0.500 0.000 0.518
Br1 Br 0.000 0.198 0.499
Br2 Br 0.333 0.198 0.507
Br3 Br 0.500 0.000 0.201
Cl1 Cl 0.164 0.000 0.805
Cl2 Cl 0.166 0.000 0.192
Cl3 Cl 0.500 0.000 0.817
```

***

Entry 8:
Starting from a cell relaxed with GGA-PBE, the X-ray diffraction stick pattern of TaBr3Cl was simulated for Cu Ka.
Intensities are scaled so that the largest is 100.

Principal peaks in the range 10° ≤ 2θ ≤ 90°, most intense first:
hkl 1 0 0, 10.57°, 8.368 Å, intensity 100.0; hkl 0 1 1, 11.59°, 7.637 Å, intensity 57.4; hkl 1 1 -1, 15.63°, 5.671 Å, intensity 29.1; hkl 1 1 0, 13.67°, 6.478 Å, intensity 25.9; hkl 0 3 0, 26.13°, 3.410 Å, intensity 22.3; hkl 1 0 -4, 32.85°, 2.727 Å, intensity 21.6; hkl 0 2 1, 18.98°, 4.675 Å, intensity 20.3; hkl 3 0 2, 36.03°, 2.493 Å, intensity 19.9; hkl 0 4 0, 35.08°, 2.558 Å, intensity 18.7; hkl 1 1 -4, 34.04°, 2.634 Å, intensity 15.1

```
data_TaBr3Cl
_chemical_formula_sum 'Ta4 Br12 Cl4'
_cell_length_a 8.369
_cell_length_b 10.233
_cell_length_c 11.475
_cell_angle_alpha 90.00
_cell_angle_beta 90.90
_cell_angle_gamma 90.00
_space_group_name_H-M_alt 'P 1 2/c 1'
_space_group_IT_number 13
loop_
_space_group_symop_operation_xyz
'x,y,z'
'-x,-y,-z'
'-x,y,-z+1/2'
'x,-y,z+1/2'
loop_
_atom_site_label
_atom_site_type_symbol
_atom_site_fract_x
_atom_site_fract_y
_atom_site_fract_z
Ta1 Ta 0.071 0.140 0.376
Br1 Br 0.059 0.118 0.903
Br2 Br 0.232 0.119 0.193
Br3 Br 0.338 0.146 0.480
Cl1 Cl 0.030 0.359 0.399
```

***

Entry 9:
Starting from a cell relaxed with GGA-PBE, the X-ray diffraction stick pattern of TaBr2Cl3 was simulated for Cu Ka.
Intensities are scaled so that the largest is 100.

Principal peaks in the range 10° ≤ 2θ ≤ 90°, most intense first:
hkl 1 1 -1, 15.06°, 5.883 Å, intensity 100.0; hkl 2 0 0, 13.72°, 6.453 Å, intensity 56.2; hkl 2 0 -2, 17.79°, 4.986 Å, intensity 30.0; hkl 1 1 2, 24.79°, 3.592 Å, intensity 25.5; hkl 4 0 -2, 26.41°, 3.375 Å, intensity 24.9; hkl 1 1 1, 17.98°, 4.934 Å, intensity 21.0; hkl 5 1 -3, 36.93°, 2.434 Å, intensity 20.1; hkl 1 3 2, 43.24°, 2.092 Å, intensity 19.4; hkl 3 1 -1, 22.63°, 3.930 Å, intensity 16.5; hkl 2 2 1, 31.21°, 2.866 Å, intensity 16.1

```
data_TaBr2Cl3
_chemical_formula_sum 'Ta4 Br8 Cl12'
_cell_length_a 14.021
_cell_length_b 7.281
_cell_length_c 10.799
_cell_angle_alpha 90.00
_cell_angle_beta 112.99
_cell_angle_gamma 90.00
_space_group_name_H-M_alt 'C 1 2/c 1'
_space_group_IT_number 15
loop_
_space_group_symop_operation_xyz
'x,y,z'
'-x,-y,-z'
'-x,y,-z+1/2'
'x,-y,z+1/2'
'x+1/2,y+1/2,z'
'-x+1/2,-y+1/2,-z'
'-x+1/2,y+1/2,-z+1/2'
'x+1/2,-y+1/2,z+1/2'
loop_
_atom_site_label
_atom_site_type_symbol
_atom_site_fract_x
_atom_site_fract_y
_atom_site_fract_z
Ta1 Ta 0.000 0.177 0.250
Br1 Br 0.103 0.348 0.452
Cl1 Cl 0.000 0.137 0.750
Cl2 Cl 0.140 0.174 0.184
```

***

Entry 10:
Starting from a cell relaxed with GGA-PBE, the X-ray diffraction stick pattern of TaBrCl4 was simulated for Cu Ka.
Intensities are scaled so that the largest is 100.

Principal peaks in the range 10° ≤ 2θ ≤ 90°, most intense first:
hkl 0 1 1, 14.20°, 6.238 Å, intensity 100.0; hkl 0 2 4, 38.13°, 2.360 Å, intensity 16.7; hkl 0 1 3, 24.70°, 3.604 Å, intensity 16.6; hkl 0 2 2, 28.65°, 3.116 Å, intensity 12.1; hkl 2 1 -3, 37.00°, 2.430 Å, intensity 12.0; hkl 1 0 0, 18.15°, 4.889 Å, intensity 11.0; hkl 1 0 -2, 18.26°, 4.858 Å, intensity 10.5; hkl 2 1 -1, 36.82°, 2.441 Å, intensity 9.8; hkl 2 0 -2, 33.88°, 2.646 Å, intensity 9.4; hkl 2 2 2, 51.72°, 1.768 Å, intensity 6.8

```
data_TaBrCl4
_chemical_formula_sum 'Ta2 Br2 Cl8'
_cell_length_a 5.292
_cell_length_b 7.187
_cell_length_c 13.537
_cell_angle_alpha 90.00
_cell_angle_beta 112.50
_cell_angle_gamma 90.00
_space_group_name_H-M_alt 'P 1 21/c 1'
_space_group_IT_number 14
loop_
_space_group_symop_operation_xyz
'x,y,z'
'-x,-y,-z'
'-x,y+1/2,-z+1/2'
'x,-y+1/2,z+1/2'
loop_
_atom_site_label
_atom_site_type_symbol
_atom_site_fract_x
_atom_site_fract_y
_atom_site_fract_z
Ta1 Ta 0.000 0.000 0.000
Br1 Br 0.500 0.000 0.000
Cl1 Cl 0.103 0.234 0.605
Cl2 Cl 0.150 0.684 0.653
```

***

Entry 11:
Starting from a cell relaxed with GGA-PBE, the X-ray diffraction stick pattern of TbBr3Cl was simulated for Cu Ka.
Intensities are scaled so that the largest is 100.

Principal peaks in the range 10° ≤ 2θ ≤ 90°, most intense first:
hkl 1 1 0, 14.82°, 5.978 Å, intensity 100.0; hkl 0 2 2, 33.82°, 2.650 Å, intensity 88.7; hkl 1 1 2, 26.11°, 3.413 Å, intensity 82.9; hkl 4 0 0, 29.64°, 3.014 Å, intensity 72.7; hkl 4 2 2, 45.58°, 1.990 Å, intensity 72.7; hkl 0 0 2, 21.39°, 4.154 Å, intensity 37.4; hkl 5 1 2, 45.46°, 1.995 Å, intensity 28.5; hkl 2 0 0, 14.70°, 6.027 Å, intensity 27.2; hkl 0 0 4, 43.58°, 2.077 Å, intensity 24.5; hkl 4 0 4, 53.59°, 1.710 Å, intensity 24.5

```
data_TbBr3Cl
_chemical_formula_sum 'Tb4 Br12 Cl4'
_cell_length_a 12.054
_cell_length_b 6.885
_cell_length_c 8.308
_cell_angle_alpha 90.00
_cell_angle_beta 90.00
_cell_angle_gamma 90.00
_space_group_name_H-M_alt 'I m a 2'
_space_group_IT_number 46
loop_
_space_group_symop_operation_xyz
'x,y,z'
'-x,-y,z'
'-x+1/2,y,z'
'x+1/2,-y,z'
'x+1/2,y+1/2,z+1/2'
'-x+1/2,-y+1/2,z+1/2'
'-x,y+1/2,z+1/2'
'x,-y+1/2,z+1/2'
loop_
_atom_site_label
_atom_site_type_symbol
_atom_site_fract_x
_atom_site_fract_y
_atom_site_fract_z
Tb1 Tb 0.250 0.220 0.000
Br1 Br 0.013 0.213 0.001
Br2 Br 0.250 0.524 0.227
Cl1 Cl 0.250 0.011 0.270
```

***

Entry 12:
Starting from a cell relaxed with GGA-PBE, the X-ray diffraction stick pattern of TbBrCl2 was simulated for Cu Ka.
Intensities are scaled so that the largest is 100.

Principal peaks in the range 10° ≤ 2θ ≤ 90°, most intense first:
hkl 1 1 0, 14.99°, 5.910 Å, intensity 100.0; hkl 1 3 1, 32.90°, 2.723 Å, intensity 57.7; hkl 0 2 1, 20.78°, 4.274 Å, intensity 57.5; hkl 2 0 -2, 27.97°, 3.190 Å, intensity 34.7; hkl 3 3 -1, 42.00°, 2.151 Å, intensity 22.7; hkl 3 1 -2, 36.78°, 2.444 Å, intensity 22.3; hkl 1 1 -1, 15.81°, 5.604 Å, intensity 18.8; hkl 0 2 0, 15.12°, 5.860 Å, intensity 17.8; hkl 2 2 -3, 41.45°, 2.179 Å, intensity 17.0; hkl 1 3 -3, 45.37°, 1.999 Å, intensity 16.9

```
data_TbBrCl2
_chemical_formula_sum 'Tb4 Br4 Cl8'
_cell_length_a 7.797
_cell_length_b 11.721
_cell_length_c 7.117
_cell_angle_alpha 90.00
_cell_angle_beta 118.62
_cell_angle_gamma 90.00
_space_group_name_H-M_alt 'C 1 c 1'
_space_group_IT_number 9
loop_
_space_group_symop_operation_xyz
'x,y,z'
'x,-y,z+1/2'
'x+1/2,y+1/2,z'
'x+1/2,-y+1/2,z+1/2'
loop_
_atom_site_label
_atom_site_type_symbol
_atom_site_fract_x
_atom_site_fract_y
_atom_site_fract_z
Tb1 Tb 0.000 0.091 0.000
Br1 Br 0.273 0.417 0.712
Cl1 Cl 0.206 0.067 0.792
Cl2 Cl 0.255 0.250 0.243
```